For Li3Nb3TeO12, a crystal structure in Alexandria, relaxed with GGA-PBE gives the theoretical X-ray diffraction stick pattern in this record (Cu Kα, 1.54184 Å).

Largest 10 diffraction maxima, by angle, 15° ≤ 2θ ≤ 90°:
2θ (°)	d (Å)	I_rel
23.3	3.812	51
23.5	3.779	100
32.4	2.765	18
32.5	2.756	18
32.6	2.744	17
34.4	2.607	22
42.1	2.147	12
48.2	1.889	18
53.0	1.727	19
55.5	1.655	12

Atomic structure:
a b c (Å): 5.2101 5.5057 7.6479
angles (deg): 85.43 89.75 89.98
Fractional coordinates of all 19 atoms:
Li: 0.0000 0.0000 0.0000
Li: 0.0009 0.9859 0.4890
Li: 0.5003 0.4900 0.9953
Nb: 0.9999 0.4345 0.2129
Nb: 0.4908 0.9166 0.7143
Nb: 0.5028 0.9326 0.2220
Te: 0.9993 0.4171 0.7054
O: 0.1281 0.3880 0.9419
O: 0.1752 0.0847 0.2518
O: 0.1849 0.7116 0.6333
O: 0.2830 0.2030 0.6371
O: 0.3137 0.5928 0.2350
O: 0.3810 0.8944 0.9470
O: 0.6271 0.9094 0.4526
O: 0.6936 0.2120 0.1303
O: 0.6967 0.5955 0.7662
O: 0.8028 0.7128 0.1339
O: 0.8120 0.1071 0.7575
O: 0.8928 0.4000 0.4589